Calculated powder X-ray diffraction pattern
Compound: Sc12Co5Bi
Radiation: a wavelength of 1.5418 Å
Structure: a PBE-relaxed structure

The 6 most intense peaks (2θ = 10–80°), most intense first:
- (2 2 2), 2θ 34.92, I 100
- (3 1 2), 2θ 37.96, I 74
- (1 2 3), 2θ 37.11, I 66
- (0 2 0), 2θ 20.32, I 64
- (2 1 1), 2θ 24.74, I 52
- (2 3 1), 2θ 38.39, I 47

Atomic structure:
Cell: 8.7224 8.7493 9.2584 Å, 90.00 90.00 90.00°
Space group Immm (No. 71)
Symmetry-distinct sites (fractional):
Sc  0.0000  0.1938  0.1877 [8 per cell]
Sc  0.1831  0.2217  0.5000 [8 per cell]
Sc  0.1976  0.5000  0.2835 [8 per cell]
Co  0.0000  0.0000  0.3822 [4 per cell]
Co  0.0000  0.5000  0.5000 [2 per cell]
Co  0.1387  0.0000  0.0000 [4 per cell]
Bi  0.0000  0.5000  0.0000 [2 per cell]



Calculated powder X-ray diffraction pattern
Compound: Pr2Te2O7
Radiation: a wavelength of 1.5418 Å
Structure: a PBE-relaxed structure

The 6 most intense peaks (2θ = 10–80°), most intense first:
- (2 2 2), 2θ 28.30, I 100
- (4 4 0), 2θ 47.05, I 50
- (6 2 2), 2θ 55.82, I 44
- (4 0 0), 2θ 32.79, I 32
- (6 6 2), 2θ 75.93, I 18
- (8 4 0), 2θ 78.27, I 13

Atomic structure:
Cell: 10.9251 10.9251 10.9251 Å, 90.00 90.00 90.00°
Space group Fd-3m (No. 227, origin choice 2)
Symmetry-distinct sites (fractional):
Pr  0.0000  0.0000  0.0000 [16 per cell]
Te  0.0000  0.0000  0.5000 [16 per cell]
O  0.0922  0.3750  0.8750 [48 per cell]
O  0.1250  0.1250  0.1250 [8 per cell]



Calculated powder X-ray diffraction pattern
Compound: PrTmAl4Ni2
Radiation: a wavelength of 1.5418 Å
Structure: a PBE-relaxed structure

The 6 most intense peaks (2θ = 10–80°), most intense first:
- (1 1 3), 2θ 36.45, I 100
- (2 1 1), 2θ 35.14, I 97
- (0 1 1), 2θ 23.50, I 69
- (1 0 4), 2θ 36.93, I 61
- (2 0 0), 2θ 25.75, I 53
- (3 1 3), 2θ 52.72, I 33

Atomic structure:
Cell: 6.9199 4.0647 10.4020 Å, 90.00 90.00 90.00°
Space group Amm2 (No. 38)
Symmetry-distinct sites (fractional):
Pr  0.0000  0.0000  0.0000 [2 per cell]
Tm  0.5000  0.0000  0.8838 [2 per cell]
Al  0.1990  0.0000  0.2817 [4 per cell]
Al  0.3088  0.0000  0.6045 [4 per cell]
Ni  0.0000  0.0000  0.7231 [2 per cell]
Ni  0.5000  0.0000  0.1565 [2 per cell]



Calculated powder X-ray diffraction pattern
Compound: BaCdGaF7
Radiation: a wavelength of 1.5418 Å
Structure: a PBE-relaxed structure

The 6 most intense peaks (2θ = 10–80°), most intense first:
- (3 1 0), 2θ 25.78, I 100
- (1 1 -4), 2θ 30.07, I 43
- (1 1 4), 2θ 30.38, I 35
- (3 1 -8), 2θ 55.92, I 27
- (2 0 -4), 2θ 27.10, I 26
- (0 2 0), 2θ 33.88, I 25

Atomic structure:
Cell: 13.6904 5.2923 14.7758 Å, 90.00 91.68 90.00°
Space group C2/c (No. 15)
Symmetry-distinct sites (fractional):
Ba  0.1935  0.0328  0.1237 [8 per cell]
Cd  0.0000  0.4534  0.7500 [4 per cell]
Cd  0.0000  0.5000  0.0000 [4 per cell]
Ga  0.1243  0.0103  0.8751 [8 per cell]
F  0.0057  0.1098  0.6534 [8 per cell]
F  0.0619  0.3878  0.1296 [8 per cell]
F  0.0887  0.1535  0.4832 [8 per cell]
F  0.1286  0.2751  0.2995 [8 per cell]
F  0.1382  0.3112  0.9505 [8 per cell]
F  0.1634  0.2225  0.7758 [8 per cell]
F  0.2437  0.4503  0.5907 [8 per cell]



Calculated powder X-ray diffraction pattern
Compound: Nb5Ni
Radiation: a wavelength of 1.5418 Å
Structure: a PBE-relaxed structure

The 6 most intense peaks (2θ = 10–80°), most intense first:
- (3 3 3), 2θ 39.37, I 100
- (4 2 2), 2θ 37.04, I 33
- (6 6 0), 2θ 66.75, I 32
- (4 4 0), 2θ 43.03, I 21
- (5 5 5), 2θ 68.31, I 8
- (4 4 2), 2θ 45.78, I 8

Atomic structure:
Cell: 11.8916 11.8916 11.8916 Å, 90.00 90.00 90.00°
Space group Fd-3m (No. 227, origin choice 2)
Symmetry-distinct sites (fractional):
Nb  0.0351  0.0351  0.2149 [32 per cell]
Nb  0.0594  0.3750  0.8750 [48 per cell]
Ni  0.0000  0.0000  0.0000 [16 per cell]



Calculated powder X-ray diffraction pattern
Compound: YHoIr2C3
Radiation: a wavelength of 1.5418 Å
Structure: a PBE-relaxed structure

The 6 most intense peaks (2θ = 10–80°), most intense first:
- (1 1 1), 2θ 33.51, I 100
- (3 1 -1), 2θ 37.00, I 75
- (4 0 0), 2θ 32.57, I 54
- (2 0 -2), 2θ 34.78, I 29
- (2 0 2), 2θ 42.76, I 28
- (5 1 1), 2θ 56.33, I 26

Atomic structure:
Cell: 11.3785 3.4503 5.2756 Å, 90.00 104.86 90.00°
Space group Cm (No. 8)
Symmetry-distinct sites (fractional):
Y  0.0000  0.0000  0.0000 [2 per cell]
Ho  0.2516  0.5000  0.3611 [2 per cell]
Ir  0.0090  0.5000  0.5120 [2 per cell]
Ir  0.2442  0.0000  0.8499 [2 per cell]
C  0.1045  0.0000  0.4746 [2 per cell]
C  0.1493  0.5000  0.8869 [2 per cell]
C  0.3753  0.0000  0.6768 [2 per cell]



Calculated powder X-ray diffraction pattern
Compound: InCuSiSeS2
Radiation: a wavelength of 1.5418 Å
Structure: a PBE-relaxed structure

The 6 most intense peaks (2θ = 10–80°), most intense first:
- (1 3 0), 2θ 32.48, I 100
- (0 0 2), 2θ 17.80, I 82
- (1 3 1), 2θ 33.74, I 71
- (0 0 4), 2θ 36.05, I 59
- (1 3 4), 2θ 49.30, I 55
- (0 6 1), 2θ 40.23, I 51

Atomic structure:
Cell: 3.4426 13.8046 9.9650 Å, 90.00 90.00 90.00°
Space group Cmcm (No. 63)
Symmetry-distinct sites (fractional):
In  0.0000  0.2034  0.2500 [4 per cell]
Cu  0.0000  0.1392  0.7500 [4 per cell]
Si  0.0000  0.5000  0.0000 [4 per cell]
Se  0.0000  0.4606  0.7500 [4 per cell]
S  0.0000  0.1152  0.5277 [8 per cell]



Calculated powder X-ray diffraction pattern
Compound: Er2AgSe3
Radiation: a wavelength of 1.5418 Å
Structure: a PBE-relaxed structure

The 6 most intense peaks (2θ = 10–80°), most intense first:
- (2 1 0), 2θ 30.53, I 100
- (0 1 3), 2θ 28.20, I 53
- (3 1 4), 2θ 44.50, I 46
- (0 1 5), 2θ 36.00, I 44
- (0 2 0), 2θ 46.53, I 34
- (3 0 1), 2θ 30.79, I 33

Atomic structure:
Cell: 8.8551 3.9037 16.2182 Å, 90.00 90.00 90.00°
Space group Pnma (No. 62)
Symmetry-distinct sites (fractional):
Er  0.1159  0.2500  0.2101 [4 per cell]
Er  0.1674  0.2500  0.9441 [4 per cell]
Ag  0.0520  0.2500  0.5590 [4 per cell]
Se  0.1241  0.2500  0.7658 [4 per cell]
Se  0.1275  0.2500  0.3851 [4 per cell]
Se  0.1514  0.7500  0.0765 [4 per cell]



Q: What is the formula in the first record?
A: Sc12Co5Bi